Starting from the GGA-PBE geometry in Alexandria, the powder diffractogram of Tb3In4Au2 was simulated for λ = 1.5418 Å (Cu Kα).

Most intense lines, 2θ from 10° to 90°, low angle first:
d_spacing, two_theta, I (rel.), (hkl)
2.766, 32.4, 33, 4 0 -1
2.750, 32.6, 64, 3 1 0
2.731, 32.8, 97, 1 1 2
2.416, 37.2, 100, 3 1 -3
2.404, 37.4, 53, 0 2 0
1.445, 64.5, 31, 1 1 5

Structure:
Lattice parameters (Å, degrees): 11.176 4.808 9.095 90.00 115.83 90.00
Space group C2/m (No. 12)
Asymmetric unit:
Tb  0.000  0.000  0.000 x2
Tb  0.176  0.500  0.650 x4
In  0.029  0.000  0.362 x4
In  0.235  0.500  0.077 x4
Au  0.102  0.500  0.273 x4